# 1
PuAl2AgO8: calculated X-ray powder pattern (λ = 1.5418 Å (Cu Kα)), based on a structure optimized by DFT (PBE).
Intensities are scaled so that the largest is 100.

The 10 most intense peaks (2θ from 10° to 80°), in order of rising 2θ:
2θ = 18.84°, I = 100
2θ = 26.14°, I = 51
2θ = 27.38°, I = 50
2θ = 29.20°, I = 21
2θ = 34.00°, I = 44
2θ = 35.93°, I = 32
2θ = 37.81°, I = 20
2θ = 38.22°, I = 20
2θ = 43.75°, I = 21
2θ = 54.15°, I = 30

Structural model:
```
data_PuAl2AgO8
_chemical_formula_sum 'Pu1 Al2 Ag1 O8'
_cell_length_a 4.7197
_cell_length_b 4.7277
_cell_length_c 6.1399
_cell_angle_alpha 86.49
_cell_angle_beta 86.46
_cell_angle_gamma 87.20
_symmetry_space_group_name_H-M 'P 1'
_symmetry_Int_Tables_number 1
_symmetry_space_group_name_Hall 'P 1'
loop_
_atom_site_label
_atom_site_fract_x
_atom_site_fract_y
_atom_site_fract_z
Pu1 0.0000 0.0000 0.0000
Al1 0.4856 0.4856 0.2593
Al2 0.5144 0.5144 0.7407
Ag1 0.0000 0.0000 0.5000
O1 0.2088 0.2062 0.2441
O2 0.2252 0.2222 0.7961
O3 0.3132 0.6843 0.0001
O4 0.3196 0.6777 0.5003
O5 0.6804 0.3223 0.4997
O6 0.6868 0.3157 0.9998
O7 0.7748 0.7778 0.2039
O8 0.7912 0.7938 0.7559
```

# 2
PmAl7Zn5: calculated X-ray powder pattern (λ = 1.5418 Å (Cu Kα)), based on a structure optimized by DFT (PBE).
Intensities are scaled so that the largest is 100.

The 10 most intense peaks (2θ from 10° to 80°), in order of rising 2θ:
2θ = 13.52°, I = 40
2θ = 27.23°, I = 42
2θ = 27.56°, I = 60
2θ = 33.83°, I = 22
2θ = 38.81°, I = 38
2θ = 38.97°, I = 36
2θ = 39.13°, I = 80
2θ = 39.83°, I = 100
2θ = 44.56°, I = 28
2θ = 56.90°, I = 37

Structural model:
```
data_PmAl7Zn5
_chemical_formula_sum 'Pm1 Al7 Zn5'
_cell_length_a 7.0449
_cell_length_b 7.0449
_cell_length_c 7.0449
_cell_angle_alpha 136.80
_cell_angle_beta 97.59
_cell_angle_gamma 97.99
_symmetry_space_group_name_H-M 'P 1'
_symmetry_Int_Tables_number 1
_symmetry_space_group_name_Hall 'P 1'
loop_
_atom_site_label
_atom_site_fract_x
_atom_site_fract_y
_atom_site_fract_z
Pm1 0.0000 0.0000 0.0000
Al1 0.2220 0.5038 0.7182
Al2 0.3599 0.3599 0.0000
Al3 0.3611 0.0055 0.3556
Al4 0.6474 0.6474 0.0000
Al5 0.6499 0.0055 0.6444
Al6 0.7856 0.5038 0.2818
Al7 0.7874 0.2874 0.5000
Zn1 0.0068 0.0038 0.5025
Zn2 0.0068 0.5042 0.0030
Zn3 0.2201 0.7201 0.5000
Zn4 0.5012 0.0038 0.9970
Zn5 0.5012 0.5042 0.4975
```

# 3
ThCu4Pt8: calculated X-ray powder pattern (λ = 1.5418 Å (Cu Kα)), based on a structure optimized by DFT (PBE).
Intensities are scaled so that the largest is 100.

The 10 most intense peaks (2θ from 10° to 80°), in order of rising 2θ:
2θ = 28.20°, I = 12
2θ = 34.80°, I = 33
2θ = 35.08°, I = 28
2θ = 40.36°, I = 100
2θ = 40.62°, I = 20
2θ = 45.36°, I = 26
2θ = 45.59°, I = 28
2θ = 66.51°, I = 17
2θ = 73.31°, I = 22
2θ = 73.47°, I = 12

Structural model:
```
data_ThCu4Pt8
_chemical_formula_sum 'Th1 Cu4 Pt8'
_cell_length_a 6.8275
_cell_length_b 6.8275
_cell_length_c 6.8275
_cell_angle_alpha 98.07
_cell_angle_beta 98.07
_cell_angle_gamma 135.99
_symmetry_space_group_name_H-M 'P 1'
_symmetry_Int_Tables_number 1
_symmetry_space_group_name_Hall 'P 1'
loop_
_atom_site_label
_atom_site_fract_x
_atom_site_fract_y
_atom_site_fract_z
Th1 0.0000 0.0000 0.0000
Cu1 0.0000 0.0000 0.5000
Cu2 0.0000 0.5000 0.0000
Cu3 0.5000 0.0000 0.0000
Cu4 0.5000 0.5000 0.5000
Pt1 0.0000 0.3437 0.3437
Pt2 0.0000 0.6563 0.6563
Pt3 0.2788 0.5000 0.7788
Pt4 0.3437 0.0000 0.3437
Pt5 0.5000 0.2788 0.7788
Pt6 0.5000 0.7212 0.2212
Pt7 0.6563 0.0000 0.6563
Pt8 0.7212 0.5000 0.2212
```

# 4
Ga2Hg2Cl7: calculated X-ray powder pattern (λ = 1.5418 Å (Cu Kα)), based on a structure optimized by DFT (PBE).
Intensities are scaled so that the largest is 100.

The 10 most intense peaks (2θ from 10° to 80°), in order of rising 2θ:
2θ = 10.10°, I = 100
2θ = 15.22°, I = 89
2θ = 16.07°, I = 25
2θ = 21.02°, I = 64
2θ = 22.64°, I = 39
2θ = 22.89°, I = 25
2θ = 28.96°, I = 21
2θ = 31.53°, I = 24
2θ = 32.01°, I = 31
2θ = 37.06°, I = 22

Structural model:
```
data_Ga2Hg2Cl7
_chemical_formula_sum 'Ga2 Hg2 Cl7'
_cell_length_a 7.1512
_cell_length_b 7.1512
_cell_length_c 9.0329
_cell_angle_alpha 101.17
_cell_angle_beta 101.17
_cell_angle_gamma 74.65
_symmetry_space_group_name_H-M 'P 1'
_symmetry_Int_Tables_number 1
_symmetry_space_group_name_Hall 'P 1'
loop_
_atom_site_label
_atom_site_fract_x
_atom_site_fract_y
_atom_site_fract_z
Ga1 0.0000 0.0000 0.0000
Ga2 0.7082 0.7082 0.5937
Hg1 0.2339 0.5605 0.2349
Hg2 0.5605 0.2339 0.2349
Cl1 0.3152 0.8902 0.0372
Cl2 0.4959 0.9154 0.4600
Cl3 0.5860 0.5860 0.7399
Cl4 0.8693 0.8693 0.1486
Cl5 0.8902 0.3152 0.0372
Cl6 0.9154 0.4959 0.4600
Cl7 0.9146 0.9146 0.7408
```

# 5
Mg4IrRh: calculated X-ray powder pattern (λ = 1.5418 Å (Cu Kα)), based on a structure optimized by DFT (PBE).
Intensities are scaled so that the largest is 100.

The 10 most intense peaks (2θ from 10° to 80°), in order of rising 2θ:
2θ = 12.10°, I = 19
2θ = 22.32°, I = 100
2θ = 24.34°, I = 28
2θ = 31.60°, I = 68
2θ = 34.79°, I = 18
2θ = 37.89°, I = 30
2θ = 41.65°, I = 43
2θ = 42.92°, I = 75
2θ = 50.14°, I = 37
2θ = 71.89°, I = 16

Structural model:
```
data_Mg4IrRh
_chemical_formula_sum 'Mg4 Ir1 Rh1'
_cell_length_a 3.0704
_cell_length_b 4.7497
_cell_length_c 7.3125
_cell_angle_alpha 90.00
_cell_angle_beta 90.00
_cell_angle_gamma 90.00
_symmetry_space_group_name_H-M 'P 1'
_symmetry_Int_Tables_number 1
_symmetry_space_group_name_Hall 'P 1'
loop_
_atom_site_label
_atom_site_fract_x
_atom_site_fract_y
_atom_site_fract_z
Mg1 0.0000 0.0000 0.1938
Mg2 0.0000 0.0000 0.8062
Mg3 0.5000 0.5000 0.3052
Mg4 0.5000 0.5000 0.6948
Ir1 0.0000 0.5000 0.0000
Rh1 0.5000 0.0000 0.5000
```

# 6
LiTaNbAg2O6: calculated X-ray powder pattern (λ = 1.5418 Å (Cu Kα)), based on a structure optimized by DFT (PBE).
Intensities are scaled so that the largest is 100.

The 10 most intense peaks (2θ from 10° to 80°), in order of rising 2θ:
2θ = 21.72°, I = 12
2θ = 24.37°, I = 33
2θ = 30.80°, I = 35
2θ = 31.03°, I = 100
2θ = 31.11°, I = 58
2θ = 33.20°, I = 12
2θ = 44.27°, I = 41
2θ = 46.04°, I = 14
2θ = 50.30°, I = 13
2θ = 55.20°, I = 26

Structural model:
```
data_LiTaNbAg2O6
_chemical_formula_sum 'Li1 Ta1 Nb1 Ag2 O6'
_cell_length_a 4.0925
_cell_length_b 4.0925
_cell_length_c 8.0952
_cell_angle_alpha 90.11
_cell_angle_beta 90.11
_cell_angle_gamma 89.64
_symmetry_space_group_name_H-M 'P 1'
_symmetry_Int_Tables_number 1
_symmetry_space_group_name_Hall 'P 1'
loop_
_atom_site_label
_atom_site_fract_x
_atom_site_fract_y
_atom_site_fract_z
Li1 0.0000 0.0000 0.0000
Ta1 0.5092 0.5092 0.0008
Nb1 0.5746 0.5746 0.5008
Ag1 0.0863 0.0863 0.3063
Ag2 0.0872 0.0872 0.6947
O1 0.0167 0.5061 0.0006
O2 0.0637 0.5819 0.5005
O3 0.5061 0.0167 0.0006
O4 0.5385 0.5385 0.2467
O5 0.5380 0.5380 0.7545
O6 0.5819 0.0637 0.5005
```

# 7
Sm8TlIn2: calculated X-ray powder pattern (λ = 1.5418 Å (Cu Kα)), based on a structure optimized by DFT (PBE).
Intensities are scaled so that the largest is 100.

The 10 most intense peaks (2θ from 10° to 80°), in order of rising 2θ:
2θ = 22.90°, I = 10
2θ = 31.54°, I = 13
2θ = 32.13°, I = 18
2θ = 33.02°, I = 100
2θ = 33.42°, I = 29
2θ = 47.04°, I = 13
2θ = 47.76°, I = 9
2θ = 49.77°, I = 10
2θ = 59.50°, I = 28
2θ = 61.29°, I = 7

Structural model:
```
data_Sm8TlIn2
_chemical_formula_sum 'Sm8 Tl1 In2'
_cell_length_a 9.5672
_cell_length_b 9.5672
_cell_length_c 9.5672
_cell_angle_alpha 147.45
_cell_angle_beta 133.08
_cell_angle_gamma 58.27
_symmetry_space_group_name_H-M 'P 1'
_symmetry_Int_Tables_number 1
_symmetry_space_group_name_Hall 'P 1'
loop_
_atom_site_label
_atom_site_fract_x
_atom_site_fract_y
_atom_site_fract_z
Sm1 0.1296 0.3572 0.7724
Sm2 0.1876 0.1876 0.0000
Sm3 0.2677 0.0000 0.2677
Sm4 0.4152 0.6428 0.7724
Sm5 0.5848 0.3572 0.2276
Sm6 0.7323 0.0000 0.7323
Sm7 0.8124 0.8124 0.0000
Sm8 0.8704 0.6428 0.2276
Tl1 0.0000 0.5000 0.5000
In1 0.3118 0.8118 0.5000
In2 0.6882 0.1882 0.5000
```

# 8
NiPt2: calculated X-ray powder pattern (λ = 1.5418 Å (Cu Kα)), based on a structure optimized by DFT (PBE).
Intensities are scaled so that the largest is 100.

The 10 most intense peaks (2θ from 10° to 80°), in order of rising 2θ:
2θ = 12.10°, I = 6
2θ = 32.42°, I = 4
2θ = 40.55°, I = 100
2θ = 46.85°, I = 17
2θ = 47.20°, I = 16
2θ = 47.48°, I = 16
2θ = 68.64°, I = 6
2θ = 68.76°, I = 5
2θ = 68.92°, I = 11
2θ = 69.19°, I = 10

Structural model:
```
data_NiPt2
_chemical_formula_sum 'Ni4 Pt8'
_cell_length_a 6.1253
_cell_length_b 3.8295
_cell_length_c 7.7022
_cell_angle_alpha 90.00
_cell_angle_beta 108.23
_cell_angle_gamma 90.00
_symmetry_space_group_name_H-M 'P 1'
_symmetry_Int_Tables_number 1
_symmetry_space_group_name_Hall 'P 1'
loop_
_atom_site_label
_atom_site_fract_x
_atom_site_fract_y
_atom_site_fract_z
Ni1 0.0000 0.0000 0.0000
Ni2 0.0005 0.5000 0.2403
Ni3 0.3358 0.0000 0.8356
Ni4 0.6706 0.0000 0.1573
Pt1 0.0047 0.5000 0.7524
Pt2 0.3254 0.0000 0.3176
Pt3 0.3287 0.5000 0.0721
Pt4 0.3324 0.5000 0.5823
Pt5 0.6660 0.0000 0.6697
Pt6 0.6703 0.5000 0.3992
Pt7 0.6791 0.5000 0.9300
Pt8 0.9984 0.0000 0.4856
```

# 9
CaLa4Tl2: calculated X-ray powder pattern (λ = 1.5418 Å (Cu Kα)), based on a structure optimized by DFT (PBE).
Intensities are scaled so that the largest is 100.

The 10 most intense peaks (2θ from 10° to 80°), in order of rising 2θ:
2θ = 16.36°, I = 14
2θ = 21.88°, I = 28
2θ = 24.47°, I = 32
2θ = 31.10°, I = 100
2θ = 31.49°, I = 53
2θ = 44.61°, I = 22
2θ = 44.88°, I = 40
2θ = 55.35°, I = 17
2θ = 65.13°, I = 13
2θ = 73.74°, I = 15

Structural model:
```
data_CaLa4Tl2
_chemical_formula_sum 'Ca1 La4 Tl2'
_cell_length_a 9.1246
_cell_length_b 9.1246
_cell_length_c 9.1246
_cell_angle_alpha 143.30
_cell_angle_beta 143.30
_cell_angle_gamma 52.87
_symmetry_space_group_name_H-M 'P 1'
_symmetry_Int_Tables_number 1
_symmetry_space_group_name_Hall 'P 1'
loop_
_atom_site_label
_atom_site_fract_x
_atom_site_fract_y
_atom_site_fract_z
Ca1 0.0000 0.0000 0.0000
La1 0.0000 0.5000 0.5000
La2 0.1918 0.1918 0.0000
La3 0.5000 0.0000 0.5000
La4 0.8082 0.8082 0.0000
Tl1 0.3866 0.3866 0.0000
Tl2 0.6134 0.6134 0.0000
```

# 10
CeDy2UO8: calculated X-ray powder pattern (λ = 1.5418 Å (Cu Kα)), based on a structure optimized by DFT (PBE).
Intensities are scaled so that the largest is 100.

The 10 most intense peaks (2θ from 10° to 80°), in order of rising 2θ:
2θ = 28.72°, I = 100
2θ = 28.84°, I = 99
2θ = 33.35°, I = 66
2θ = 47.74°, I = 17
2θ = 47.88°, I = 68
2θ = 48.05°, I = 17
2θ = 56.76°, I = 45
2θ = 56.92°, I = 45
2θ = 70.05°, I = 16
2θ = 79.83°, I = 18

Structural model:
```
data_CeDy2UO8
_chemical_formula_sum 'Ce1 Dy2 U1 O8'
_cell_length_a 3.8098
_cell_length_b 5.3748
_cell_length_c 7.5737
_cell_angle_alpha 90.00
_cell_angle_beta 90.00
_cell_angle_gamma 90.00
_symmetry_space_group_name_H-M 'P 1'
_symmetry_Int_Tables_number 1
_symmetry_space_group_name_Hall 'P 1'
loop_
_atom_site_label
_atom_site_fract_x
_atom_site_fract_y
_atom_site_fract_z
Ce1 0.0000 0.0000 0.0000
Dy1 0.5000 0.5000 0.2498
Dy2 0.5000 0.5000 0.7502
U1 0.0000 0.0000 0.5000
O1 0.0000 0.2401 0.2689
O2 0.0000 0.2401 0.7311
O3 0.0000 0.7599 0.2689
O4 0.0000 0.7599 0.7311
O5 0.5000 0.2316 0.5000
O6 0.5000 0.2488 0.0000
O7 0.5000 0.7512 0.0000
O8 0.5000 0.7684 0.5000
```

# 11
SbPb8: calculated X-ray powder pattern (λ = 1.5418 Å (Cu Kα)), based on a structure optimized by DFT (PBE).
Intensities are scaled so that the largest is 100.

The 10 most intense peaks (2θ from 10° to 80°), in order of rising 2θ:
2θ = 31.00°, I = 100
2θ = 35.56°, I = 18
2θ = 36.14°, I = 33
2θ = 51.61°, I = 25
2θ = 52.04°, I = 12
2θ = 61.04°, I = 15
2θ = 61.82°, I = 29
2θ = 64.62°, I = 13
2θ = 75.28°, I = 2
2θ = 76.69°, I = 4

Structural model:
```
data_SbPb8
_chemical_formula_sum 'Sb1 Pb8'
_cell_length_a 7.8714
_cell_length_b 7.8714
_cell_length_c 7.8714
_cell_angle_alpha 95.91
_cell_angle_beta 95.91
_cell_angle_gamma 142.58
_symmetry_space_group_name_H-M 'P 1'
_symmetry_Int_Tables_number 1
_symmetry_space_group_name_Hall 'P 1'
loop_
_atom_site_label
_atom_site_fract_x
_atom_site_fract_y
_atom_site_fract_z
Sb1 0.0000 0.0000 0.0000
Pb1 0.0000 0.3300 0.3300
Pb2 0.0000 0.6700 0.6700
Pb3 0.3300 0.0000 0.3300
Pb4 0.3352 0.3352 0.6704
Pb5 0.3352 0.6648 0.0000
Pb6 0.6648 0.3352 0.0000
Pb7 0.6648 0.6648 0.3296
Pb8 0.6700 0.0000 0.6700
```

# 12
LiZnAu4: calculated X-ray powder pattern (λ = 1.5418 Å (Cu Kα)), based on a structure optimized by DFT (PBE).
Intensities are scaled so that the largest is 100.

The 10 most intense peaks (2θ from 10° to 80°), in order of rising 2θ:
2θ = 19.26°, I = 18
2θ = 25.77°, I = 49
2θ = 37.95°, I = 100
2θ = 39.10°, I = 15
2θ = 39.26°, I = 95
2θ = 42.65°, I = 36
2θ = 42.94°, I = 35
2θ = 48.84°, I = 26
2θ = 66.82°, I = 19
2θ = 67.03°, I = 19

Structural model:
```
data_LiZnAu4
_chemical_formula_sum 'Li1 Zn1 Au4'
_cell_length_a 5.1711
_cell_length_b 5.1711
_cell_length_c 5.8231
_cell_angle_alpha 106.01
_cell_angle_beta 106.01
_cell_angle_gamma 42.27
_symmetry_space_group_name_H-M 'P 1'
_symmetry_Int_Tables_number 1
_symmetry_space_group_name_Hall 'P 1'
loop_
_atom_site_label
_atom_site_fract_x
_atom_site_fract_y
_atom_site_fract_z
Li1 0.0000 0.0000 0.0000
Zn1 0.0000 0.0000 0.5000
Au1 0.3412 0.3412 0.1693
Au2 0.3474 0.3474 0.6741
Au3 0.6526 0.6526 0.3259
Au4 0.6588 0.6588 0.8307
```

# 13
Pm12CdSn6: calculated X-ray powder pattern (λ = 1.5418 Å (Cu Kα)), based on a structure optimized by DFT (PBE).
Intensities are scaled so that the largest is 100.

The 10 most intense peaks (2θ from 10° to 80°), in order of rising 2θ:
2θ = 20.78°, I = 50
2θ = 24.28°, I = 41
2θ = 29.92°, I = 35
2θ = 30.40°, I = 56
2θ = 34.07°, I = 100
2θ = 35.15°, I = 90
2θ = 35.57°, I = 22
2θ = 44.33°, I = 22
2θ = 49.78°, I = 35
2θ = 51.62°, I = 28

Structural model:
```
data_Pm12CdSn6
_chemical_formula_sum 'Pm12 Cd1 Sn6'
_cell_length_a 9.0294
_cell_length_b 9.0294
_cell_length_c 9.0294
_cell_angle_alpha 100.91
_cell_angle_beta 100.91
_cell_angle_gamma 100.91
_symmetry_space_group_name_H-M 'P 1'
_symmetry_Int_Tables_number 1
_symmetry_space_group_name_Hall 'P 1'
loop_
_atom_site_label
_atom_site_fract_x
_atom_site_fract_y
_atom_site_fract_z
Pm1 0.0492 0.9497 0.6719
Pm2 0.0503 0.3281 0.9508
Pm3 0.1879 0.5582 0.4170
Pm4 0.3281 0.9508 0.0503
Pm5 0.4170 0.1879 0.5582
Pm6 0.4418 0.5830 0.8121
Pm7 0.5582 0.4170 0.1879
Pm8 0.5830 0.8121 0.4418
Pm9 0.6719 0.0492 0.9497
Pm10 0.8121 0.4418 0.5830
Pm11 0.9497 0.6719 0.0492
Pm12 0.9508 0.0503 0.3281
Cd1 0.0000 0.0000 0.0000
Sn1 0.1280 0.3156 0.6231
Sn2 0.3156 0.6231 0.1280
Sn3 0.3769 0.8720 0.6844
Sn4 0.6231 0.1280 0.3156
Sn5 0.6844 0.3769 0.8720
Sn6 0.8720 0.6844 0.3769
```